# 1
This entry pairs a crystal structure of Os7C5 with its computed powder X-ray diffraction pattern. Radiation: λ = 1.5418 Å (Cu Kα). Structure: a PBE-relaxed structure.
Peak positions follow from Bragg's law for the DFT cell and can differ from measured ones.

Cell and atoms:
Unit cell a=8.489 b=8.489 c=4.788 alpha=90.00 beta=90.00 gamma=90.00
Space group I4mm (No. 107)
Inequivalent atoms, fractional coordinates:
Os  0.000  0.000  0.000 (multiplicity 2)
Os  0.000  0.231  0.599 (multiplicity 8)
Os  0.000  0.500  0.352 (multiplicity 4)
C  0.000  0.000  0.400 (multiplicity 2)
C  0.214  0.214  0.435 (multiplicity 8)

Main lines, by angle (2θ from 10° to 90°):
2theta	d (Å)	I/Imax
20.93	4.244	746
21.31	4.170	413
30.04	2.975	1000
40.57	2.223	278
42.60	2.122	706
42.80	2.113	663
48.65	1.871	671
61.83	1.501	219
68.67	1.367	200
82.37	1.171	250



# 2
This entry pairs a crystal structure of Os8C with its computed powder X-ray diffraction pattern. Radiation: λ = 1.5418 Å (Cu Kα). Structure: a PBE-relaxed structure.
Peak positions follow from Bragg's law for the DFT cell and can differ from measured ones.

Cell and atoms:
Unit cell a=8.111 b=8.111 c=3.836 alpha=90.00 beta=90.00 gamma=90.00
Space group I4/mmm (No. 139)
Inequivalent atoms, fractional coordinates:
Os  0.000  0.338  0.000 (multiplicity 8)
Os  0.172  0.172  0.500 (multiplicity 8)
C  0.000  0.000  0.000 (multiplicity 2)

Main lines, by angle (2θ from 10° to 90°):
2theta	d (Å)	I/Imax
15.45	5.735	110
21.92	4.055	42
40.83	2.210	1000
47.40	1.918	165
47.56	1.912	322
69.41	1.354	211
69.54	1.352	103
83.67	1.156	131
83.91	1.153	253
88.49	1.105	114



# 3
This entry pairs a crystal structure of Os5C7 with its computed powder X-ray diffraction pattern. Radiation: λ = 1.5418 Å (Cu Kα). Structure: a PBE-relaxed structure.
Peak positions follow from Bragg's law for the DFT cell and can differ from measured ones.

Cell and atoms:
Unit cell a=6.841 b=6.841 c=5.210 alpha=90.00 beta=90.00 gamma=90.00
Space group I4mm (No. 107)
Inequivalent atoms, fractional coordinates:
Os  0.000  0.000  0.000 (multiplicity 2)
Os  0.204  0.204  0.436 (multiplicity 8)
C  0.000  0.000  0.605 (multiplicity 2)
C  0.000  0.306  0.130 (multiplicity 8)
C  0.000  0.500  0.077 (multiplicity 4)

Main lines, by angle (2θ from 10° to 90°):
2theta	d (Å)	I/Imax
18.34	4.837	360
26.05	3.421	521
33.98	2.638	779
34.43	2.605	597
37.17	2.419	664
43.31	2.089	1000
43.68	2.072	480
51.56	1.772	485
71.26	1.323	270
77.31	1.234	395



# 4
This entry pairs a crystal structure of Os3C4 with its computed powder X-ray diffraction pattern. Radiation: λ = 1.5418 Å (Cu Kα). Structure: a PBE-relaxed structure.
Peak positions follow from Bragg's law for the DFT cell and can differ from measured ones.

Cell and atoms:
Unit cell a=4.705 b=4.705 c=4.705 alpha=90.00 beta=90.00 gamma=90.00
Space group P-43m (No. 215)
Inequivalent atoms, fractional coordinates:
Os  0.000  0.000  0.500 (multiplicity 3)
C  0.208  0.208  0.208 (multiplicity 4)

Main lines, by angle (2θ from 10° to 90°):
2theta	d (Å)	I/Imax
18.86	4.705	378
26.79	3.327	273
32.97	2.717	1000
38.26	2.353	442
42.98	2.104	147
47.32	1.921	127
55.21	1.664	385
58.88	1.568	82
65.83	1.419	421
69.16	1.358	112